This entry pairs a crystal structure of Ba7Ga4As9 with its calculated powder diffractogram. Radiation: copper Kα. Structure: a crystal structure in Alexandria, relaxed with PBE.
Neutral-atom scattering factors, no anomalous dispersion.

Top 10 peaks for 2θ from 15° to 90°, sorted by position:
d_spacing	2theta	I_rel	(hkl)
3.454	25.79	14	1 4 1
3.439	25.91	35	0 0 2
3.315	26.89	100	2 4 0
2.955	30.25	20	0 3 2
2.821	31.72	40	2 1 2
2.712	33.03	48	3 3 1
2.573	34.87	36	4 0 0
2.387	37.69	53	2 4 2
2.167	41.67	26	0 8 0
1.872	48.63	19	2 7 2

Crystal structure
Lattice parameters (Å, degrees): 10.2920 17.3382 6.8781 90.00 90.00 90.00
Space group Pmmn (No. 59, origin choice 2)
One atom of each set of equivalent atoms:
Ba: 0.0271 0.1250 0.0540
Ba: 0.2500 0.0323 0.5492
Ba: 0.2500 0.7500 0.5895
Ga: 0.0741 0.2500 0.5697
Ga: 0.2500 0.6259 0.2332
As: 0.0400 0.6214 0.4409
As: 0.2500 0.2500 0.3006
As: 0.2500 0.2500 0.8394
As: 0.2500 0.5118 0.0209
As: 0.2500 0.7500 0.0435